[1]
Structure and computed powder diffraction line list of Li5Fe3Sb2O10 (a structure optimized by DFT (PBE+U); Cu Kα (λ = 1.5418 Å)).

Main lines, by intensity (10° ≤ 2θ ≤ 80°):
two_theta, d (Å), Rel. int., h k l
17.60, 5.038, 100.0, 0 0 2
17.32, 5.121, 49.6, 1 0 0
40.44, 2.230, 45.1, 1 -2 2
40.90, 2.207, 44.7, 2 1 -2
41.89, 2.157, 41.7, 1 3 4
21.91, 4.056, 31.5, 1 1 2
35.34, 2.540, 30.6, 2 1 2
33.38, 2.684, 26.3, 1 -2 0
25.51, 3.491, 24.9, 0 2 2
34.14, 2.627, 18.8, 1 3 2
33.62, 2.666, 16.8, 2 1 0
35.18, 2.551, 15.5, 1 3 0

Structural model:
a b c (Å): 5.411 8.207 10.597
angles (deg): 72.43 80.81 71.62
Space group P1 (No. 1)
Asymmetric unit:
1 Li 0.000 0.000 0.000 (multiplicity 1)
2 Li 0.001 0.041 0.473 (multiplicity 1)
3 Li 0.095 0.320 0.736 (multiplicity 1)
4 Li 0.098 0.320 0.238 (multiplicity 1)
5 Li 0.168 0.653 0.471 (multiplicity 1)
6 Li 0.194 0.609 0.994 (multiplicity 1)
7 Li 0.367 0.229 0.989 (multiplicity 1)
8 Li 0.369 0.242 0.473 (multiplicity 1)
9 Li 0.815 0.415 0.999 (multiplicity 1)
10 Li 0.838 0.415 0.484 (multiplicity 1)
11 Fe 0.288 0.936 0.232 (multiplicity 1)
12 Fe 0.293 0.924 0.736 (multiplicity 1)
13 Fe 0.591 0.827 0.485 (multiplicity 1)
14 Fe 0.603 0.819 0.986 (multiplicity 1)
15 Fe 0.894 0.713 0.236 (multiplicity 1)
16 Fe 0.902 0.709 0.741 (multiplicity 1)
17 Sb 0.484 0.535 0.240 (multiplicity 1)
18 Sb 0.493 0.519 0.735 (multiplicity 1)
19 Sb 0.699 0.123 0.235 (multiplicity 1)
20 Sb 0.703 0.119 0.732 (multiplicity 1)
21 O 0.025 0.160 0.119 (multiplicity 1)
22 O 0.027 0.157 0.620 (multiplicity 1)
23 O 0.128 0.491 0.358 (multiplicity 1)
24 O 0.171 0.478 0.845 (multiplicity 1)
25 O 0.254 0.770 0.107 (multiplicity 1)
26 O 0.264 0.742 0.620 (multiplicity 1)
27 O 0.379 0.079 0.355 (multiplicity 1)
28 O 0.396 0.064 0.854 (multiplicity 1)
29 O 0.467 0.352 0.624 (multiplicity 1)
30 O 0.468 0.340 0.116 (multiplicity 1)
31 O 0.514 0.703 0.361 (multiplicity 1)
32 O 0.539 0.664 0.848 (multiplicity 1)
33 O 0.653 0.963 0.626 (multiplicity 1)
34 O 0.659 0.971 0.123 (multiplicity 1)
35 O 0.731 0.284 0.839 (multiplicity 1)
36 O 0.762 0.248 0.358 (multiplicity 1)
37 O 0.805 0.572 0.618 (multiplicity 1)
38 O 0.849 0.594 0.087 (multiplicity 1)
39 O 0.923 0.893 0.355 (multiplicity 1)
40 O 0.933 0.902 0.849 (multiplicity 1)


[2]
Structure and computed powder diffraction line list of Li2V5CuO12 (a structure optimized by DFT (PBE+U); Cu Kα (λ = 1.5418 Å)).

Main lines, by intensity (10° ≤ 2θ ≤ 80°):
two_theta, d (Å), Rel. int., h k l
27.90, 3.198, 100.0, 2 2 -1
29.40, 3.038, 57.9, 3 1 0
32.77, 2.733, 43.0, 0 0 2
23.52, 3.782, 27.6, 1 1 1
19.58, 4.533, 26.1, 0 2 0
34.98, 2.565, 26.0, 2 2 1
18.35, 4.835, 24.9, 1 1 -1
13.39, 6.615, 23.4, 1 1 0
53.63, 1.709, 21.0, 5 3 -1
50.96, 1.792, 19.5, 2 2 -3
44.74, 2.026, 17.8, 2 4 -1
25.53, 3.489, 17.2, 0 2 1

Structural model:
a b c (Å): 10.360 9.067 5.854
angles (deg): 90.00 111.00 90.00
Space group C2 (No. 5)
Asymmetric unit:
1 Li 0.000 0.000 0.000 (multiplicity 2)
2 Li 0.000 0.488 0.500 (multiplicity 2)
3 V 0.000 0.336 0.000 (multiplicity 2)
4 V 0.204 0.844 0.485 (multiplicity 4)
5 V 0.207 0.652 0.981 (multiplicity 4)
6 Cu 0.000 0.152 0.500 (multiplicity 2)
7 O 0.109 0.167 0.923 (multiplicity 4)
8 O 0.114 0.347 0.387 (multiplicity 4)
9 O 0.124 0.479 0.929 (multiplicity 4)
10 O 0.135 0.745 0.677 (multiplicity 4)
11 O 0.138 0.019 0.436 (multiplicity 4)
12 O 0.147 0.767 0.187 (multiplicity 4)


[3]
Structure and computed powder diffraction line list of BaMo2P4O16 (a structure optimized by DFT (PBE+U); Cu Kα (λ = 1.5418 Å)).

Main lines, by intensity (10° ≤ 2θ ≤ 80°):
two_theta, d (Å), Rel. int., h k l
24.05, 3.700, 100.0, 0 3 1
19.34, 4.589, 89.0, 1 0 -2
23.89, 3.725, 56.2, 0 1 2
30.60, 2.922, 47.5, 0 4 1
21.53, 4.128, 46.8, 1 2 0
25.53, 3.489, 38.0, 1 1 1
31.17, 2.870, 37.3, 2 2 -2
28.59, 3.122, 28.4, 2 1 -2
28.94, 3.086, 21.0, 2 1 -1
31.49, 2.841, 20.4, 2 2 -1
32.62, 2.745, 20.0, 1 3 1
40.26, 2.240, 19.6, 1 1 -4

Structural model:
a b c (Å): 6.548 12.606 9.350
angles (deg): 90.00 123.47 90.00
Space group P2_1/c (No. 14)
Asymmetric unit:
1 Ba 0.000 0.000 0.000 (multiplicity 2)
2 Mo 0.459 0.190 0.663 (multiplicity 4)
3 P 0.127 0.693 0.936 (multiplicity 4)
4 P 0.344 0.557 0.249 (multiplicity 4)
5 O 0.150 0.210 0.663 (multiplicity 4)
6 O 0.180 0.532 0.308 (multiplicity 4)
7 O 0.183 0.587 0.047 (multiplicity 4)
8 O 0.195 0.671 0.806 (multiplicity 4)
9 O 0.273 0.716 0.560 (multiplicity 4)
10 O 0.318 0.156 0.453 (multiplicity 4)
11 O 0.466 0.147 0.155 (multiplicity 4)
12 O 0.495 0.537 0.743 (multiplicity 4)